No. 1
Simulated XRD peak list
Compound: YSe2O5
Radiation: Cu Ka
Structure: DFT lattice parameters and positions (GGA-PBE)
Intensities are scaled so that the largest is 100.

Structure:
a = 7.307 Å, b = 10.766 Å, c = 6.933 Å
α = 90.00°, β = 90.00°, γ = 90.00°
Positions (direct):
Y: 0.000 0.067 0.250
Y: 0.000 0.933 0.750
Y: 0.500 0.433 0.750
Y: 0.500 0.567 0.250
Se: 0.125 0.359 0.028
Se: 0.125 0.641 0.528
Se: 0.375 0.141 0.528
Se: 0.375 0.859 0.028
Se: 0.625 0.141 0.972
Se: 0.625 0.859 0.472
Se: 0.875 0.359 0.472
Se: 0.875 0.641 0.972
O: 0.000 0.430 0.250
O: 0.000 0.570 0.750
O: 0.158 0.066 0.538
O: 0.158 0.934 0.038
O: 0.178 0.220 0.138
O: 0.178 0.780 0.638
O: 0.322 0.280 0.638
O: 0.322 0.720 0.138
O: 0.342 0.434 0.038
O: 0.342 0.566 0.538
O: 0.500 0.070 0.750
O: 0.500 0.930 0.250
O: 0.658 0.434 0.462
O: 0.658 0.566 0.962
O: 0.678 0.280 0.862
O: 0.678 0.720 0.362
O: 0.822 0.220 0.362
O: 0.822 0.780 0.862
O: 0.842 0.066 0.962
O: 0.842 0.934 0.462

Largest 10 diffraction maxima, by angle, 5° ≤ 2θ ≤ 70°:
| Position (°2θ) | intensity |
| --- | --- |
| 19.5 | 57 |
| 24.2 | 100 |
| 27.7 | 35 |
| 28.8 | 69 |
| 29.7 | 56 |
| 30.6 | 46 |
| 35.7 | 20 |
| 42.5 | 27 |
| 51.0 | 23 |
| 57.0 | 22 |

=====

No. 2
Simulated XRD peak list
Compound: Y3Se2O
Radiation: Cu Ka
Structure: DFT lattice parameters and positions (GGA-PBE)
Intensities are scaled so that the largest is 100.

Structure:
a = 7.943 Å, b = 7.943 Å, c = 5.589 Å
α = 90.00°, β = 90.00°, γ = 58.88°
Positions (direct):
Y: 0.113 0.586 0.000
Y: 0.117 0.883 0.500
Y: 0.414 0.887 0.000
Y: 0.586 0.113 0.500
Y: 0.883 0.117 0.000
Y: 0.887 0.414 0.500
Se: 0.207 0.486 0.500
Se: 0.486 0.207 0.000
Se: 0.514 0.793 0.500
Se: 0.793 0.514 0.000
O: 0.169 0.831 0.999
O: 0.831 0.169 0.499

Largest 10 diffraction maxima, by angle, 5° ≤ 2θ ≤ 70°:
| Position (°2θ) | intensity |
| --- | --- |
| 22.4 | 90 |
| 22.8 | 53 |
| 30.8 | 33 |
| 32.0 | 100 |
| 38.3 | 35 |
| 38.7 | 57 |
| 39.1 | 45 |
| 39.4 | 40 |
| 39.8 | 34 |
| 51.4 | 40 |

=====

No. 3
Simulated XRD peak list
Compound: ZnSe2O5
Radiation: Cu Ka
Structure: DFT lattice parameters and positions (GGA-PBE)
Intensities are scaled so that the largest is 100.

Structure:
a = 6.918 Å, b = 10.608 Å, c = 6.179 Å
α = 90.00°, β = 90.00°, γ = 90.00°
Positions (direct):
Zn: 0.000 0.061 0.250
Zn: 0.000 0.939 0.750
Zn: 0.500 0.439 0.750
Zn: 0.500 0.561 0.250
Se: 0.136 0.345 0.034
Se: 0.136 0.655 0.534
Se: 0.364 0.155 0.534
Se: 0.364 0.845 0.034
Se: 0.636 0.155 0.966
Se: 0.636 0.845 0.466
Se: 0.864 0.345 0.466
Se: 0.864 0.655 0.966
O: 0.000 0.433 0.250
O: 0.000 0.567 0.750
O: 0.155 0.066 0.547
O: 0.155 0.934 0.047
O: 0.199 0.211 0.165
O: 0.199 0.789 0.665
O: 0.301 0.289 0.665
O: 0.301 0.711 0.165
O: 0.345 0.434 0.047
O: 0.345 0.566 0.547
O: 0.500 0.067 0.750
O: 0.500 0.933 0.250
O: 0.655 0.434 0.453
O: 0.655 0.566 0.953
O: 0.699 0.289 0.835
O: 0.699 0.711 0.335
O: 0.801 0.211 0.335
O: 0.801 0.789 0.835
O: 0.845 0.066 0.953
O: 0.845 0.934 0.453

Largest 10 diffraction maxima, by angle, 5° ≤ 2θ ≤ 70°:
| Position (°2θ) | intensity |
| --- | --- |
| 21.0 | 40 |
| 25.6 | 100 |
| 28.3 | 40 |
| 30.8 | 81 |
| 31.7 | 17 |
| 31.9 | 21 |
| 32.9 | 29 |
| 52.7 | 26 |
| 56.2 | 18 |
| 61.4 | 19 |